The following is a theoretical powder diffractogram of Sn7Pd5. It was derived from a cell relaxed with GGA-PBE, using Cu Kα.
No peak broadening, texture or thermal motion is included.

Principal peaks in the range 15° ≤ 2θ ≤ 90°, in order of falling intensity:
2theta  I/Imax
40.31  1000
36.89  265
41.18  237
29.83  206
43.11  191
21.52  155
27.36  142
41.09  119
74.47  119
68.77  110

Cell and atoms:
Cell: 6.9724 6.9724 9.7464 Å, 110.48 110.48 36.65°
Fractional coordinates of all 12 atoms:
Sn1 0.0000 0.0000 0.0000
Sn2 0.0484 0.4414 0.1186
Sn3 0.0491 0.4073 0.6178
Sn4 0.3164 0.6700 0.6749
Sn5 0.3300 0.6836 0.3251
Sn6 0.5586 0.9516 0.8814
Sn7 0.5927 0.9509 0.3822
Pd1 0.6922 0.0746 0.1809
Pd2 0.6945 0.0474 0.6956
Pd3 0.8297 0.1703 0.5000
Pd4 0.9254 0.3078 0.8191
Pd5 0.9526 0.3055 0.3044